[1]
Theoretical powder diffractogram of VCr14S20 for Cu Kα, from a GGA-PBE-relaxed structure.
Intensities are scaled so that the largest is 100.

Structural model:
```
VCr14S20
1.0
6.3174 -1.7323 0.0000
6.3174 1.7323 0.0000
-1.3269 0.0000 27.0213
V Cr S
1 14 20
Cartesian
0.0000 0.0000 0.0000
-0.2402 0.0000 6.9249
1.7049 0.0000 14.6958
1.4692 0.0000 21.6357
2.4754 0.0000 1.4726
4.4955 0.0000 9.2936
4.2594 0.0000 16.2112
4.0370 0.0000 23.1360
7.2710 0.0000 3.8853
7.0485 0.0000 10.8101
6.8124 0.0000 17.7277
8.8325 0.0000 25.5487
9.8387 0.0000 5.3856
9.6030 0.0000 12.3255
11.5481 0.0000 20.0964
0.3007 0.0000 2.4080
-0.3097 0.0000 16.0963
1.7677 0.0000 5.5090
1.1414 0.0000 19.2027
2.4798 0.0000 10.6943
1.8242 0.0000 24.0647
4.5678 0.0000 0.1534
3.9326 0.0000 13.7975
4.5815 0.0000 18.6247
5.2678 0.0000 5.2945
6.0401 0.0000 21.7268
6.7264 0.0000 8.3966
7.3753 0.0000 13.2238
6.7401 0.0000 26.8679
9.4837 0.0000 2.9566
8.8281 0.0000 16.3270
10.1666 0.0000 7.8186
9.5402 0.0000 21.5123
11.6177 0.0000 10.9250
11.0072 0.0000 24.6133
```

The 10 most intense peaks (5° ≤ 2θ ≤ 70°), most intense first:
two_theta	I/Imax
44.4	100
33.6	83
43.8	74
52.3	65
33.9	43
15.8	40
29.7	40
16.8	36
52.9	33
43.3	30

=====

[2]
Theoretical powder diffractogram of HoFe10Re2 for Cu Kα, from a GGA-PBE-relaxed structure.
Intensities are scaled so that the largest is 100.

Structural model:
```
HoFe10Re2
1.0
-2.3453 4.2342 4.3020
2.3453 -4.2342 4.3020
2.3453 4.2342 -4.3020
Ho Fe Re
1 10 2
Cartesian
0.0000 0.0000 0.0000
1.1727 2.1171 -2.1510
1.1727 -2.1171 2.1510
2.3453 1.8649 0.0000
2.3453 0.0000 1.9628
0.0000 3.0384 0.0000
-1.1727 2.1171 2.1510
1.1727 2.1171 2.1510
0.0000 5.4300 0.0000
0.0000 4.2342 2.3392
0.0000 2.3693 4.3020
0.0000 0.0000 3.0757
0.0000 0.0000 5.5282
```

The 10 most intense peaks (5° ≤ 2θ ≤ 70°), most intense first:
two_theta	I/Imax
42.7	100
21.7	51
44.1	44
37.2	43
36.7	39
33.0	27
38.4	25
42.9	22
21.0	20
45.1	18

=====

[3]
Theoretical powder diffractogram of Sn5C8Se10N2O for Cu Kα, from a GGA-PBE-relaxed structure.
Intensities are scaled so that the largest is 100.

Structural model:
```
Sn5C8Se10N2O
1.0
-4.6826 4.6826 7.8390
4.6826 -4.6826 7.8390
4.6826 4.6826 -7.8390
Sn C Se N O
5 8 10 2 1
Cartesian
0.0000 0.0000 0.0000
2.9900 -0.4469 2.3746
5.1294 -1.6926 5.4644
6.3751 0.4469 2.3746
4.2357 1.6926 5.4644
4.0844 4.3868 -1.3593
0.5982 0.2958 6.4797
4.9784 4.0844 1.3593
-0.0262 3.9997 2.6050
-0.2958 0.5982 9.1983
0.0262 5.3654 2.6050
0.6829 4.6563 5.2340
-0.6829 4.7088 5.2340
4.6826 0.0000 0.4501
3.0754 3.7207 -2.7766
-0.1857 2.2008 2.2165
1.6072 0.9619 5.0623
4.6826 0.0000 7.3889
5.6445 3.0754 2.7766
2.4818 4.4969 5.6225
-0.9619 1.6072 10.6156
-2.4818 4.8683 5.6225
0.1857 7.1644 2.2165
0.0000 0.0000 7.8390
0.0000 4.6826 3.9195
4.6826 0.0000 3.9195
```

The 10 most intense peaks (5° ≤ 2θ ≤ 70°), most intense first:
two_theta	I/Imax
11.0	100
27.3	99
32.3	68
35.5	60
17.5	56
19.0	43
29.2	42
33.4	41
34.3	32
29.3	32